# 1
Computed PXRD pattern of CeTlBiPb for Cu Kα (λ = 1.5418 Å), from a cell relaxed with GGA-PBE.

Most intense lines, 5 to 70 degrees two-theta, by angle:
2θ (°)  d [Å]  I/Imax  hkl
31.64  2.828  100  1 1 1
35.60  2.522  18  0 0 2
36.85  2.439  17  0 2 0
37.62  2.391  16  2 0 0
52.17  1.753  13  0 2 2
52.76  1.735  12  2 0 2
61.47  1.508  15  1 1 3
63.15  1.472  14  1 3 1
64.18  1.451  14  3 1 1
66.09  1.414  13  2 2 2

Structure:
Cell lengths 4.7819, 4.8778, 5.0440 Å; angles 90.00, 90.00, 90.00 degrees
Space group Pmmm (No. 47)
One atom of each set of equivalent atoms:
1 Ce 0.0000 0.0000 0.0000 [1 per cell]
2 Tl 0.0000 0.5000 0.5000 [1 per cell]
3 Bi 0.5000 0.5000 0.0000 [1 per cell]
4 Pb 0.5000 0.0000 0.5000 [1 per cell]

---

# 2
Computed PXRD pattern of Ca2HoScS4 for Cu Kα (λ = 1.5418 Å), from a cell relaxed with GGA-PBE.

Most intense lines, 5 to 70 degrees two-theta, by angle:
2θ (°)  d [Å]  I/Imax  hkl
13.71  6.460  25  0 0 1
13.98  6.333  16  1 0 0
16.07  5.517  13  1 0 -1
26.96  3.307  12  1 1 0
28.14  3.171  20  2 0 0
32.45  2.759  100  1 1 1
46.22  1.964  35  1 1 -3
46.89  1.938  34  0 2 0
58.14  1.587  11  2 2 -2
67.96  1.379  10  2 2 2

Structure:
Cell lengths 6.7039, 3.8796, 6.8391 Å; angles 90.00, 109.16, 90.00 degrees
Space group P2/m (No. 10)
One atom of each set of equivalent atoms:
1 Ca 0.0000 0.0000 0.0000 [1 per cell]
2 Ca 0.5000 0.5000 0.0000 [1 per cell]
3 Ho 0.0000 0.5000 0.5000 [1 per cell]
4 Sc 0.5000 0.0000 0.5000 [1 per cell]
5 S 0.2528 0.0000 0.7395 [2 per cell]
6 S 0.2608 0.5000 0.2649 [2 per cell]

---

- Number 1 is which compound?
  CeTlBiPb

---

What did the second record say?
Computed PXRD pattern of Ca2HoScS4 for Cu Kα (λ = 1.5418 Å), from a cell relaxed with GGA-PBE.

Most intense lines, 5 to 70 degrees two-theta, by angle:
2θ (°)  d [Å]  I/Imax  hkl
13.71  6.460  25  0 0 1
13.98  6.333  16  1 0 0
16.07  5.517  13  1 0 -1
26.96  3.307  12  1 1 0
28.14  3.171  20  2 0 0
32.45  2.759  100  1 1 1
46.22  1.964  35  1 1 -3
46.89  1.938  34  0 2 0
58.14  1.587  11  2 2 -2
67.96  1.379  10  2 2 2

Structure:
Cell lengths 6.7039, 3.8796, 6.8391 Å; angles 90.00, 109.16, 90.00 degrees
Space group P2/m (No. 10)
One atom of each set of equivalent atoms:
1 Ca 0.0000 0.0000 0.0000 [1 per cell]
2 Ca 0.5000 0.5000 0.0000 [1 per cell]
3 Ho 0.0000 0.5000 0.5000 [1 per cell]
4 Sc 0.5000 0.0000 0.5000 [1 per cell]
5 S 0.2528 0.0000 0.7395 [2 per cell]
6 S 0.2608 0.5000 0.2649 [2 per cell]

---

- What is the formula in the second record?
  Ca2HoScS4